Structure and simulated powder diffraction line list of KTl3Ag (a crystal structure in Alexandria, relaxed with GGA-PBE; copper Kα).
No peak broadening, texture or thermal motion is included.

Main lines, sorted by position (5° ≤ 2θ ≤ 70°):
d (Å), 2theta, intensity
7.114, 12.44, 70.5
3.171, 28.14, 46.7
2.866, 31.21, 67.9
2.794, 32.03, 44.0
2.515, 35.70, 100.0
2.419, 37.17, 73.5
1.829, 49.87, 26.1
1.591, 57.97, 30.4

Crystal structure
```
KTl3Ag
1.0
4.5145 -7.1142 0.0000
4.5145 7.1142 0.0000
0.0000 0.0000 4.8376
K Tl Ag
2 6 2
Direct
0.2188 0.7812 0.0000
0.7812 0.2188 0.0000
0.0000 0.0000 0.5000
0.1834 0.4359 0.5000
0.4359 0.1834 0.5000
0.5000 0.5000 0.0000
0.5641 0.8166 0.5000
0.8166 0.5641 0.5000
0.1778 0.1778 0.0000
0.8222 0.8222 0.0000
```

---

Structure and simulated powder diffraction line list of CaDyTm2Bi4 (a crystal structure in Alexandria, relaxed with GGA-PBE; copper Kα).
No peak broadening, texture or thermal motion is included.

Main lines, sorted by position (5° ≤ 2θ ≤ 70°):
d (Å), 2theta, intensity
3.174, 28.12, 100.0
2.262, 39.86, 13.2
2.244, 40.18, 52.0
2.226, 40.52, 12.8
1.842, 49.48, 14.3
1.823, 50.04, 14.0
1.587, 58.13, 13.3
1.419, 65.79, 24.6

Crystal structure
```
CaDyTm2Bi4
1.0
7.7904 0.0000 0.0000
0.0000 4.4525 0.0000
-2.5478 0.0000 7.3732
Ca Dy Tm Bi
1 1 2 4
Direct
0.0000 0.0000 0.0000
0.5000 0.5000 0.0000
0.0000 0.5000 0.5000
0.5000 0.0000 0.5000
0.2511 0.0000 0.7444
0.2567 0.5000 0.2590
0.7433 0.5000 0.7410
0.7489 0.0000 0.2556
```

---

Structure and simulated powder diffraction line list of K3PuBr8 (a crystal structure in Alexandria, relaxed with GGA-PBE; copper Kα).
No peak broadening, texture or thermal motion is included.

Main lines, sorted by position (5° ≤ 2θ ≤ 70°):
d (Å), 2theta, intensity
10.034, 8.81, 70.9
6.844, 12.93, 94.9
5.694, 15.56, 52.6
5.654, 15.67, 58.7
4.049, 21.95, 56.2
3.458, 25.76, 58.3
3.098, 28.82, 100.0
2.307, 39.04, 68.7

Crystal structure
```
K3PuBr8
1.0
3.9382 -6.9160 0.0000
3.9382 6.9160 0.0000
0.0000 0.0000 10.0342
K Pu Br
3 1 8
Direct
0.0000 0.0000 0.0000
0.0000 0.5000 0.7517
0.5000 0.0000 0.2483
0.0000 0.0000 0.5000
0.1979 0.8021 0.5000
0.2350 0.7650 0.0000
0.2387 0.2444 0.6966
0.2444 0.2387 0.3034
0.7556 0.7613 0.3034
0.7613 0.7556 0.6966
0.7650 0.2350 0.0000
0.8021 0.1979 0.5000
```